Starting from a DFT-relaxed cell (GGA-PBE, the Materials Project), the powder XRD pattern of TiCuF6 was calculated for CuKα.
No peak broadening, texture or thermal motion is included.

Atomic structure:
```
data_TiCuF6
_chemical_formula_sum 'Ti1 Cu1 F6'
_cell_length_a 5.0890
_cell_length_b 5.2182
_cell_length_c 5.3481
_cell_angle_alpha 62.59
_cell_angle_beta 89.75
_cell_angle_gamma 62.10
_symmetry_space_group_name_H-M 'P -1'
_symmetry_Int_Tables_number 2
loop_
_symmetry_equiv_pos_as_xyz
'x,y,z'
'-x,-y,-z'
loop_
_atom_site_label
_atom_site_fract_x
_atom_site_fract_y
_atom_site_fract_z
Ti1 0.0000 0.0000 0.0000
Cu1 0.5000 0.0000 0.5000
F1 0.1054 0.5536 0.2235
F2 0.2504 0.8878 0.7544
F3 0.3504 0.8946 0.2489
```

Most intense lines, 5° ≤ 2θ ≤ 70°, low angle first:
(0 1 0), 2θ = 22.5°, rel. 62.3; (1 0 -1), 2θ = 24.2°, rel. 100.0; (1 0 1), 2θ = 32.1°, rel. 13.7; (1 1 -1), 2θ = 32.8°, rel. 9.5; (0 1 2), 2θ = 33.6°, rel. 9.6; (1 -1 0), 2θ = 38.1°, rel. 11.4; (0 2 0), 2θ = 46.0°, rel. 11.1; (2 0 -2), 2θ = 49.6°, rel. 9.5; (2 1 2), 2θ = 53.4°, rel. 11.8; (-1 1 3), 2θ = 54.7°, rel. 12.9

Starting from a DFT-relaxed cell (GGA-PBE, the Materials Project), the powder XRD pattern of Tl8Cu4F11 was calculated for CuKα.
No peak broadening, texture or thermal motion is included.

Atomic structure:
```
data_Tl8Cu4F11
_chemical_formula_sum 'Tl16 Cu8 F22'
_cell_length_a 5.1666
_cell_length_b 12.4879
_cell_length_c 15.0914
_cell_angle_alpha 91.57
_cell_angle_beta 93.58
_cell_angle_gamma 101.69
_symmetry_space_group_name_H-M 'P 1'
_symmetry_Int_Tables_number 1
loop_
_symmetry_equiv_pos_as_xyz
'x,y,z'
loop_
_atom_site_label
_atom_site_fract_x
_atom_site_fract_y
_atom_site_fract_z
Tl1 0.0000 0.0000 0.0000
Tl2 0.0010 0.7515 0.5179
Tl3 0.1188 0.1205 0.5760
Tl4 0.1611 0.8314 0.1768
Tl5 0.2272 0.2960 0.2382
Tl6 0.3438 0.5656 0.4913
Tl7 0.3555 0.4634 0.7643
Tl8 0.3756 0.9713 0.7976
Tl9 0.4875 0.6101 0.1050
Tl10 0.5073 0.7453 0.7030
Tl11 0.5582 0.1800 0.4095
Tl12 0.6430 0.2282 0.0369
Tl13 0.7369 0.2628 0.7605
Tl14 0.8146 0.5045 0.3026
Tl15 0.8497 0.9240 0.3609
Tl16 0.9098 0.6428 0.9134
Cu1 0.0630 0.5706 0.6375
Cu2 0.2119 0.2591 0.8975
Cu3 0.4074 0.6699 0.3444
Cu4 0.4552 0.8059 0.9387
Cu5 0.5696 0.9611 0.5840
Cu6 0.6827 0.0730 0.2093
Cu7 0.9849 0.3626 0.5303
Cu8 0.9986 0.4357 0.0132
F1 0.1162 0.1189 0.8496
F2 0.1306 0.9242 0.6451
F3 0.1445 0.3052 0.4374
F4 0.1797 0.2134 0.0865
F5 0.2372 0.2648 0.6894
F6 0.2467 0.0712 0.2940
F7 0.2908 0.3956 0.9567
F8 0.2971 0.5458 0.2411
F9 0.3354 0.8225 0.3303
F10 0.4193 0.6750 0.8729
F11 0.4700 0.9344 0.0042
F12 0.5368 0.8269 0.5255
F13 0.6295 0.1013 0.6350
F14 0.7050 0.2220 0.2311
F15 0.7067 0.9297 0.1878
F16 0.7671 0.7028 0.2561
F17 0.7826 0.4652 0.1014
F18 0.7919 0.5171 0.4723
F19 0.8105 0.4328 0.8763
F20 0.8123 0.3976 0.6298
F21 0.8277 0.6113 0.7311
F22 0.9604 0.8543 0.8739
```

Most intense lines, 5° ≤ 2θ ≤ 70°, low angle first:
(0 3 1), 2θ = 22.8°, rel. 40.9; (1 0 3), 2θ = 25.9°, rel. 50.8; (1 2 1), 2θ = 26.2°, rel. 78.6; (-1 2 3), 2θ = 26.7°, rel. 100.0; (1 -3 2), 2θ = 28.0°, rel. 43.7; (0 1 -5), 2θ = 30.3°, rel. 55.5; (1 -3 3), 2θ = 31.1°, rel. 27.4; (1 -4 1), 2θ = 31.5°, rel. 35.7; (2 0 -2), 2θ = 36.8°, rel. 29.9; (1 3 -4), 2θ = 37.9°, rel. 33.2

Starting from a DFT-relaxed cell (GGA-PBE, the Materials Project), the powder XRD pattern of ZnCuF5 was calculated for CuKα.
No peak broadening, texture or thermal motion is included.

Atomic structure:
```
data_ZnCuF5
_chemical_formula_sum 'Zn4 Cu4 F20'
_cell_length_a 5.1557
_cell_length_b 9.6197
_cell_length_c 7.4057
_cell_angle_alpha 90.00
_cell_angle_beta 110.60
_cell_angle_gamma 90.00
_symmetry_space_group_name_H-M 'P 1 21/c 1'
_symmetry_Int_Tables_number 14
loop_
_symmetry_equiv_pos_as_xyz
'x,y,z'
'-x,-y,-z'
'-x,y+1/2,-z+1/2'
'x,-y+1/2,z+1/2'
loop_
_atom_site_label
_atom_site_fract_x
_atom_site_fract_y
_atom_site_fract_z
Zn1 0.0232 0.0139 0.2534
Cu1 0.3995 0.2455 0.6015
F1 0.1015 0.1129 0.5570
F2 0.1365 0.1076 0.0018
F3 0.3012 0.6284 0.3522
F4 0.3547 0.1986 0.3397
F5 0.3581 0.5946 0.8058
```

Most intense lines, 5° ≤ 2θ ≤ 70°, low angle first:
(1 1 0), 2θ = 20.6°, rel. 27.7; (1 2 0), 2θ = 26.2°, rel. 100.0; (0 1 2), 2θ = 27.4°, rel. 29.6; (1 1 -2), 2θ = 27.5°, rel. 26.8; (0 2 2), 2θ = 31.8°, rel. 21.5; (1 2 -2), 2θ = 31.9°, rel. 19.7; (2 3 0), 2θ = 47.1°, rel. 22.3; (1 0 -4), 2θ = 49.2°, rel. 20.2; (1 4 2), 2θ = 53.5°, rel. 17.7; (2 4 -2), 2θ = 53.7°, rel. 17.8

Starting from a DFT-relaxed cell (GGA-PBE, the Materials Project), the powder XRD pattern of ZrCuF6 was calculated for CuKα.
No peak broadening, texture or thermal motion is included.

Atomic structure:
```
data_ZrCuF6
_chemical_formula_sum 'Zr3 Cu3 F18'
_cell_length_a 5.6454
_cell_length_b 5.6454
_cell_length_c 14.1419
_cell_angle_alpha 90.00
_cell_angle_beta 90.00
_cell_angle_gamma 120.00
_symmetry_space_group_name_H-M 'R -3'
_symmetry_Int_Tables_number 148
_symmetry_space_group_name_Hall '-R 3'
loop_
_atom_site_label
_atom_site_fract_x
_atom_site_fract_y
_atom_site_fract_z
Zr1 0.0000 0.0000 0.0000
Cu1 0.0000 0.0000 0.5000
F1 0.0009 0.5550 0.2499
```

Most intense lines, 5° ≤ 2θ ≤ 70°, low angle first:
(0 1 2), 2θ = 22.1°, rel. 100.0; (1 0 4), 2θ = 31.2°, rel. 16.7; (1 1 0), 2θ = 31.7°, rel. 13.8; (0 2 4), 2θ = 45.1°, rel. 24.3; (1 1 6), 2θ = 50.4°, rel. 21.2; (1 2 2), 2θ = 51.1°, rel. 17.4; (2 1 4), 2θ = 56.2°, rel. 7.1; (3 0 0), 2θ = 56.5°, rel. 4.7; (2 0 8), 2θ = 65.1°, rel. 7.0; (2 2 0), 2θ = 66.2°, rel. 5.2